Computed powder diffraction line list
Compound: NaMnO3F4
Radiation: CuKα
Structure: the GGA+U geometry in the Materials Project
Lines closer than 0.1° are merged.

The 12 most intense peaks (15° ≤ 2θ ≤ 90°), sorted by position:
| 2θ/deg | I_rel | (hkl) |
| --- | --- | --- |
| 17.11 | 22 | 2 0 -2 |
| 17.42 | 100 | 1 1 1 |
| 21.31 | 48 | 3 1 -1 |
| 22.04 | 14 | 2 0 2 |
| 22.16 | 37 | 4 0 0 |
| 27.17 | 24 | 0 2 0 |
| 27.37 | 31 | 1 1 -3 |
| 29.22 | 14 | 3 1 -3 |
| 31.01 | 13 | 4 0 2 |
| 36.11 | 14 | 3 1 3 |
| 43.22 | 21 | 0 2 4 |
| 48.14 | 14 | 1 3 -3 |

Structural model:
Lattice parameters (Å, degrees): 16.637 6.563 11.273 90.00 105.33 90.00
Space group C2/c (No. 15)
One atom of each set of equivalent atoms:
Na (0.027, 0.245, 0.468) x8
Mn (0.000, 0.257, 0.750) x4
Mn (0.250, 0.250, 0.500) x4
O (0.115, 0.263, 0.792) x8
O (0.155, 0.315, 0.292) x8
O (0.171, 0.251, 0.199) x8
F (0.001, 0.452, 0.871) x8
F (0.002, 0.059, 0.868) x8
F (0.157, 0.184, 0.556) x8
F (0.241, 0.487, 0.046) x8